Record 1
For Li4MnCo2O7, a cell relaxed with PBE+U gives the theoretical powder XRD pattern in this record (Cu Kα X-rays).
Lines closer than 0.1° are merged.

Atomic structure:
Unit cell a=3.0219 b=8.0386 c=10.6830 alpha=78.47 beta=86.66 gamma=89.06
Atoms (fractional coordinates):
Li  0.0000  0.0000  0.0000
Li  0.0000  0.5000  0.0000
Li  0.1412  0.0726  0.7152
Li  0.2874  0.6450  0.4288
Li  0.4290  0.2096  0.1390
Li  0.5710  0.7904  0.8610
Li  0.7126  0.3550  0.5712
Li  0.8588  0.9274  0.2848
Mn  0.1413  0.5701  0.7147
Mn  0.8587  0.4299  0.2853
Co  0.2829  0.1414  0.4294
Co  0.4360  0.7270  0.1355
Co  0.5639  0.2730  0.8645
Co  0.7171  0.8586  0.5706
O  0.0145  0.7474  0.0101
O  0.1216  0.8162  0.7082
O  0.1630  0.3268  0.7223
O  0.2661  0.3820  0.4256
O  0.3043  0.9025  0.4375
O  0.4214  0.9407  0.1456
O  0.4461  0.4825  0.1477
O  0.5539  0.5175  0.8523
O  0.5786  0.0593  0.8544
O  0.6957  0.0975  0.5625
O  0.7339  0.6180  0.5744
O  0.8370  0.6732  0.2777
O  0.8784  0.1838  0.2918
O  0.9855  0.2526  0.9899

Largest 8 diffraction maxima, low angle first, 2θ = 10–90°:
4.819 Å, 2θ = 18.41°, intensity 100
2.643 Å, 2θ = 33.92°, intensity 21
2.457 Å, 2θ = 36.57°, intensity 12
2.433 Å, 2θ = 36.95°, intensity 15
2.220 Å, 2θ = 40.64°, intensity 37
2.032 Å, 2θ = 44.59°, intensity 27
2.009 Å, 2θ = 45.12°, intensity 25
1.493 Å, 2θ = 62.18°, intensity 16



Record 2
For Li7Mn2Co3O12, a cell relaxed with PBE+U gives the theoretical powder XRD pattern in this record (Cu Kα X-rays).
Lines closer than 0.1° are merged.

Atomic structure:
Unit cell a=3.0004 b=7.6194 c=9.8755 alpha=101.27 beta=93.57 gamma=98.33
Atoms (fractional coordinates):
Li  0.0000  0.0000  0.0000
Li  0.0724  0.1694  0.7552
Li  0.1469  0.3398  0.5100
Li  0.3229  0.6677  0.0031
Li  0.4890  0.0053  0.5127
Li  0.6560  0.3337  0.9965
Li  0.8185  0.6693  0.5104
Mn  0.2446  0.5022  0.2511
Mn  0.5663  0.1705  0.2584
Co  0.4151  0.8446  0.7533
Co  0.7284  0.4944  0.7580
Co  0.9053  0.8365  0.2570
O  0.1464  0.2551  0.1360
O  0.1768  0.4273  0.8699
O  0.3120  0.6033  0.6475
O  0.3595  0.7499  0.3679
O  0.4520  0.9222  0.1439
O  0.5136  0.0527  0.8703
O  0.6304  0.2865  0.6418
O  0.6656  0.4168  0.3718
O  0.8159  0.5880  0.1359
O  0.8327  0.7367  0.8633
O  0.9697  0.9116  0.6401
O  0.9924  0.0865  0.3772

Largest 8 diffraction maxima, low angle first, 2θ = 10–90°:
4.822 Å, 2θ = 18.40°, intensity 100
2.618 Å, 2θ = 34.26°, intensity 20
2.468 Å, 2θ = 36.41°, intensity 12
2.458 Å, 2θ = 36.55°, intensity 12
2.197 Å, 2θ = 41.09°, intensity 36
2.041 Å, 2θ = 44.38°, intensity 28
2.027 Å, 2θ = 44.71°, intensity 26
1.495 Å, 2θ = 62.07°, intensity 17



Record 3
For Li7Mn2Co3O12, a cell relaxed with PBE+U gives the theoretical powder XRD pattern in this record (Cu Kα X-rays).
Lines closer than 0.1° are merged.

Atomic structure:
Unit cell a=5.1308 b=5.8681 c=7.6622 alpha=78.67 beta=76.75 gamma=72.88
Atoms (fractional coordinates):
Li  0.0000  0.0000  0.0000
Li  0.0000  0.3181  0.6879
Li  0.0015  0.6605  0.3426
Li  0.0030  0.4856  0.0058
Li  0.0043  0.1550  0.3446
Li  0.5015  0.1596  0.8425
Li  0.9956  0.8369  0.6792
Mn  0.5006  0.3217  0.1726
Mn  0.5054  0.9955  0.5123
Co  0.4928  0.4887  0.5272
Co  0.5023  0.8259  0.1713
Co  0.5031  0.6660  0.8516
O  0.2561  0.6279  0.0966
O  0.2642  0.5058  0.7480
O  0.2702  0.9861  0.7449
O  0.2782  0.3099  0.4230
O  0.2853  0.1469  0.1030
O  0.2925  0.8328  0.4155
O  0.7047  0.5007  0.2592
O  0.7266  0.8159  0.9366
O  0.7302  0.3321  0.9409
O  0.7311  0.1560  0.5842
O  0.7324  0.6781  0.5882
O  0.7342  0.0151  0.2660

Largest 8 diffraction maxima, low angle first, 2θ = 10–90°:
4.821 Å, 2θ = 18.40°, intensity 100
2.505 Å, 2θ = 35.85°, intensity 14
2.488 Å, 2θ = 36.10°, intensity 13
2.462 Å, 2θ = 36.50°, intensity 13
2.090 Å, 2θ = 43.29°, intensity 29
2.070 Å, 2θ = 43.72°, intensity 28
2.046 Å, 2θ = 44.26°, intensity 27
1.904 Å, 2θ = 47.76°, intensity 9



Record 4
For Li4MnCo2O7, a cell relaxed with PBE+U gives the theoretical powder XRD pattern in this record (Cu Kα X-rays).
Lines closer than 0.1° are merged.

Atomic structure:
Unit cell a=2.9700 b=6.4715 c=13.6047 alpha=83.98 beta=86.99 gamma=76.82
Atoms (fractional coordinates):
Li  0.0000  0.0000  0.0000
Li  0.0231  0.4850  0.4949
Li  0.1536  0.9288  0.7804
Li  0.3163  0.3336  0.0644
Li  0.4419  0.7833  0.3540
Li  0.5880  0.2090  0.6384
Li  0.7456  0.6373  0.9222
Li  0.8926  0.0621  0.2023
Mn  0.3002  0.8472  0.5656
Mn  0.5918  0.7186  0.1337
Co  0.1848  0.4151  0.2786
Co  0.4492  0.2682  0.8585
Co  0.7463  0.1323  0.4219
Co  0.8729  0.5591  0.7114
O  0.0436  0.2593  0.7482
O  0.0600  0.7337  0.2317
O  0.1331  0.1569  0.5266
O  0.1377  0.6738  0.0446
O  0.3246  0.5745  0.8160
O  0.3443  0.1051  0.3237
O  0.4261  0.5400  0.6050
O  0.4546  0.0079  0.1052
O  0.5819  0.9904  0.8809
O  0.6078  0.4407  0.3807
O  0.7009  0.8676  0.6733
O  0.7472  0.3990  0.1797
O  0.8548  0.3144  0.9503
O  0.8985  0.8261  0.4593

Largest 8 diffraction maxima, low angle first, 2θ = 10–90°:
4.835 Å, 2θ = 18.35°, intensity 100
2.584 Å, 2θ = 34.72°, intensity 17
2.466 Å, 2θ = 36.43°, intensity 24
2.415 Å, 2θ = 37.24°, intensity 8
2.166 Å, 2θ = 41.71°, intensity 33
2.049 Å, 2θ = 44.21°, intensity 27
2.037 Å, 2θ = 44.48°, intensity 26
1.482 Å, 2θ = 62.70°, intensity 16



Record 5
For Li3MnCoO5, a cell relaxed with PBE+U gives the theoretical powder XRD pattern in this record (Cu Kα X-rays).
Lines closer than 0.1° are merged.

Atomic structure:
Unit cell a=5.0927 b=5.1388 c=7.6372 alpha=103.13 beta=108.50 gamma=99.87
Atoms (fractional coordinates):
Li  0.0000  0.0000  0.0000
Li  0.0000  0.5000  0.5000
Li  0.1928  0.0053  0.4009
Li  0.3905  0.9953  0.7971
Li  0.6095  0.0047  0.2029
Li  0.8072  0.9947  0.5991
Mn  0.3991  0.4938  0.3013
Mn  0.6009  0.5062  0.6987
Co  0.1952  0.4999  0.8903
Co  0.8048  0.5001  0.1097
O  0.0224  0.2677  0.2461
O  0.2099  0.7174  0.1522
O  0.2242  0.2725  0.6674
O  0.4067  0.2679  0.0633
O  0.4160  0.7233  0.5453
O  0.5840  0.2767  0.4547
O  0.5933  0.7321  0.9367
O  0.7758  0.7275  0.3326
O  0.7901  0.2826  0.8478
O  0.9776  0.7323  0.7539

Largest 8 diffraction maxima, low angle first, 2θ = 10–90°:
6.906 Å, 2θ = 12.82°, intensity 12
4.827 Å, 2θ = 18.38°, intensity 100
2.506 Å, 2θ = 35.84°, intensity 27
2.458 Å, 2θ = 36.56°, intensity 12
2.092 Å, 2θ = 43.25°, intensity 32
2.082 Å, 2θ = 43.48°, intensity 31
2.044 Å, 2θ = 44.31°, intensity 28
1.476 Å, 2θ = 62.99°, intensity 24



Record 6
For Li7Mn4CoO12, a cell relaxed with PBE+U gives the theoretical powder XRD pattern in this record (Cu Kα X-rays).
Lines closer than 0.1° are merged.

Atomic structure:
Unit cell a=3.0123 b=5.0890 c=14.5328 alpha=87.37 beta=86.63 gamma=88.50
Atoms (fractional coordinates):
Li  0.0000  0.0000  0.0000
Li  0.0014  0.6579  0.3349
Li  0.0096  0.3499  0.6714
Li  0.4860  0.1569  0.8314
Li  0.5025  0.8338  0.1681
Li  0.5050  0.8227  0.6701
Li  0.5156  0.5064  0.5110
Mn  0.0023  0.3325  0.1685
Mn  0.0175  0.9919  0.5109
Mn  0.4819  0.5008  0.9976
Mn  0.5228  0.1688  0.3393
Co  0.9886  0.6703  0.8253
O  0.0015  0.9688  0.7614
O  0.0032  0.6856  0.5804
O  0.0158  0.6445  0.0846
O  0.0546  0.3097  0.4198
O  0.4622  0.8082  0.9178
O  0.4635  0.1857  0.0834
O  0.4932  0.1405  0.5768
O  0.5141  0.5020  0.7589
O  0.5396  0.4838  0.2536
O  0.5413  0.8640  0.4292
O  0.9627  0.3634  0.9174
O  0.9803  0.0178  0.2532

Largest 8 diffraction maxima, low angle first, 2θ = 10–90°:
4.864 Å, 2θ = 18.24°, intensity 100
2.621 Å, 2θ = 34.21°, intensity 17
2.489 Å, 2θ = 36.09°, intensity 13
2.471 Å, 2θ = 36.36°, intensity 11
2.198 Å, 2θ = 41.07°, intensity 34
2.066 Å, 2θ = 43.83°, intensity 29
2.038 Å, 2θ = 44.45°, intensity 26
1.503 Å, 2θ = 61.71°, intensity 9



Record 7
For Li4MnCo2O7, a cell relaxed with PBE+U gives the theoretical powder XRD pattern in this record (Cu Kα X-rays).
Lines closer than 0.1° are merged.

Atomic structure:
Unit cell a=5.1379 b=5.1379 c=17.3888 alpha=94.57 beta=94.57 gamma=33.41
Atoms (fractional coordinates):
Li  0.0000  0.0000  0.0000
Li  0.0000  0.0000  0.5000
Li  0.1391  0.1391  0.2840
Li  0.2843  0.2843  0.5634
Li  0.4283  0.4283  0.8575
Li  0.5717  0.5717  0.1425
Li  0.7157  0.7157  0.4366
Li  0.8609  0.8609  0.7160
Mn  0.4270  0.4270  0.3608
Mn  0.5730  0.5730  0.6392
Co  0.1392  0.1392  0.7878
Co  0.2850  0.2850  0.0710
Co  0.7150  0.7150  0.9290
Co  0.8608  0.8608  0.2122
O  0.0509  0.0509  0.3861
O  0.0790  0.0790  0.8912
O  0.1982  0.1982  0.6806
O  0.2227  0.2227  0.1750
O  0.3494  0.3494  0.9675
O  0.3567  0.3567  0.4541
O  0.4899  0.4899  0.2516
O  0.5101  0.5101  0.7484
O  0.6433  0.6433  0.5459
O  0.6506  0.6506  0.0325
O  0.7773  0.7773  0.8250
O  0.8018  0.8018  0.3194
O  0.9210  0.9210  0.1088
O  0.9491  0.9491  0.6139

Largest 8 diffraction maxima, low angle first, 2θ = 10–90°:
4.825 Å, 2θ = 18.39°, intensity 100
2.516 Å, 2θ = 35.68°, intensity 29
2.475 Å, 2θ = 36.29°, intensity 12
2.097 Å, 2θ = 43.14°, intensity 59
2.045 Å, 2θ = 44.29°, intensity 27
1.616 Å, 2θ = 56.97°, intensity 10
1.466 Å, 2θ = 63.43°, intensity 15
1.462 Å, 2θ = 63.65°, intensity 15



Record 8
For Li7Mn4CoO12, a cell relaxed with PBE+U gives the theoretical powder XRD pattern in this record (Cu Kα X-rays).
Lines closer than 0.1° are merged.

Atomic structure:
Unit cell a=10.6689 b=10.6689 c=5.1662 alpha=96.53 beta=96.53 gamma=47.60
Atoms (fractional coordinates):
Li  0.0360  0.7126  0.6275
Li  0.1273  0.1273  0.8744
Li  0.2122  0.5361  0.1201
Li  0.2500  0.2500  0.2502
Li  0.2874  0.9640  0.3725
Li  0.3723  0.3723  0.6342
Li  0.4639  0.7878  0.8799
Li  0.5361  0.2122  0.1201
Li  0.6277  0.6277  0.3658
Li  0.7126  0.0360  0.6275
Li  0.7500  0.7500  0.7498
Li  0.7878  0.4639  0.8799
Li  0.8727  0.8727  0.1256
Li  0.9640  0.2874  0.3725
Mn  0.0820  0.4178  0.7500
Mn  0.1684  0.8316  0.0000
Mn  0.3309  0.6691  0.5000
Mn  0.4178  0.0820  0.7500
Mn  0.5822  0.9180  0.2500
Mn  0.6691  0.3309  0.5000
Mn  0.8316  0.1684  0.0000
Mn  0.9180  0.5822  0.2500
Co  0.0000  0.0000  0.5000
Co  0.5000  0.5000  0.0000
O  0.0166  0.3734  0.0427
O  0.0590  0.0590  0.1644
O  0.1058  0.7779  0.3426
O  0.1270  0.4835  0.4573
O  0.1943  0.1943  0.5861
O  0.2221  0.8942  0.6574
O  0.2765  0.6062  0.8387
O  0.3056  0.3056  0.9143
O  0.3734  0.0166  0.0427
O  0.3938  0.7235  0.1613
O  0.4460  0.4460  0.3068
O  0.4835  0.1270  0.4573
O  0.5165  0.8730  0.5427
O  0.5540  0.5540  0.6932
O  0.6062  0.2765  0.8387
O  0.6266  0.9834  0.9573
O  0.6944  0.6944  0.0857
O  0.7235  0.3938  0.1613
O  0.7779  0.1058  0.3426
O  0.8057  0.8057  0.4139
O  0.8730  0.5165  0.5427
O  0.8942  0.2221  0.6574
O  0.9410  0.9410  0.8356
O  0.9834  0.6266  0.9573

Largest 8 diffraction maxima, low angle first, 2θ = 10–90°:
4.843 Å, 2θ = 18.32°, intensity 100
4.398 Å, 2θ = 20.19°, intensity 9
2.558 Å, 2θ = 35.08°, intensity 17
2.465 Å, 2θ = 36.46°, intensity 24
2.141 Å, 2θ = 42.20°, intensity 32
2.047 Å, 2θ = 44.24°, intensity 55
1.484 Å, 2θ = 62.62°, intensity 16
1.476 Å, 2θ = 62.98°, intensity 16



Record 9
For Li3MnCo4O8, a cell relaxed with PBE+U gives the theoretical powder XRD pattern in this record (Cu Kα X-rays).
Lines closer than 0.1° are merged.

Atomic structure:
Unit cell a=5.9344 b=5.9344 c=6.0093 alpha=120.37 beta=120.37 gamma=60.11
Atoms (fractional coordinates):
Li  0.0000  0.0000  0.0000
Li  0.0000  0.5000  0.5000
Li  0.5000  0.0000  0.5000
Mn  0.5000  0.5000  0.5000
Co  0.0000  0.0000  0.5000
Co  0.0000  0.5000  0.0000
Co  0.5000  0.0000  0.0000
Co  0.5000  0.5000  0.0000
O  0.2504  0.2504  0.7650
O  0.2644  0.2644  0.2578
O  0.2668  0.7325  0.2672
O  0.2675  0.7332  0.7328
O  0.7325  0.2668  0.2672
O  0.7332  0.2675  0.7328
O  0.7356  0.7356  0.7422
O  0.7496  0.7496  0.2350

Largest 8 diffraction maxima, low angle first, 2θ = 10–90°:
4.873 Å, 2θ = 18.20°, intensity 88
2.538 Å, 2θ = 35.37°, intensity 25
2.438 Å, 2θ = 36.88°, intensity 29
2.420 Å, 2θ = 37.15°, intensity 28
2.113 Å, 2θ = 42.80°, intensity 100
2.084 Å, 2θ = 43.41°, intensity 48
1.485 Å, 2θ = 62.55°, intensity 41
1.483 Å, 2θ = 62.62°, intensity 27



> Number 9 is which compound?

Li3MnCo4O8



What did the ninth record say?
For Li3MnCo4O8, a cell relaxed with PBE+U gives the theoretical powder XRD pattern in this record (Cu Kα X-rays).
Lines closer than 0.1° are merged.

Atomic structure:
Unit cell a=5.9344 b=5.9344 c=6.0093 alpha=120.37 beta=120.37 gamma=60.11
Atoms (fractional coordinates):
Li  0.0000  0.0000  0.0000
Li  0.0000  0.5000  0.5000
Li  0.5000  0.0000  0.5000
Mn  0.5000  0.5000  0.5000
Co  0.0000  0.0000  0.5000
Co  0.0000  0.5000  0.0000
Co  0.5000  0.0000  0.0000
Co  0.5000  0.5000  0.0000
O  0.2504  0.2504  0.7650
O  0.2644  0.2644  0.2578
O  0.2668  0.7325  0.2672
O  0.2675  0.7332  0.7328
O  0.7325  0.2668  0.2672
O  0.7332  0.2675  0.7328
O  0.7356  0.7356  0.7422
O  0.7496  0.7496  0.2350

Largest 8 diffraction maxima, low angle first, 2θ = 10–90°:
4.873 Å, 2θ = 18.20°, intensity 88
2.538 Å, 2θ = 35.37°, intensity 25
2.438 Å, 2θ = 36.88°, intensity 29
2.420 Å, 2θ = 37.15°, intensity 28
2.113 Å, 2θ = 42.80°, intensity 100
2.084 Å, 2θ = 43.41°, intensity 48
1.485 Å, 2θ = 62.55°, intensity 41
1.483 Å, 2θ = 62.62°, intensity 27